# 1
Structure and simulated powder XRD pattern of KZn2BCl2O3 (a cell relaxed with PBE; Cu Kα, 1.54184 Å).
Peak positions follow from Bragg's law for the DFT cell and can differ from measured ones.

The 10 most intense peaks (15 to 90 degrees two-theta), sorted by position:
d = 4.532 Å, 19.59 deg, intensity 53; d = 4.280 Å, 20.75 deg, intensity 21; d = 4.129 Å, 21.52 deg, intensity 85; d = 3.655 Å, 24.36 deg, intensity 98; d = 3.389 Å, 26.29 deg, intensity 41; d = 2.502 Å, 35.89 deg, intensity 100; d = 2.303 Å, 39.11 deg, intensity 56; d = 2.147 Å, 42.08 deg, intensity 34; d = 1.468 Å, 63.35 deg, intensity 25; d = 1.445 Å, 64.50 deg, intensity 23

Structural model:
Unit cell a=9.5139 b=9.5139 c=9.5139 alpha=30.50 beta=30.50 gamma=30.50
Sites, in units of the cell vectors:
K 0.0000 0.0000 0.0000
Zn 0.1943 0.1943 0.1943
Zn 0.8057 0.8057 0.8057
B 0.5000 0.5000 0.5000
Cl 0.2780 0.2780 0.2780
Cl 0.7220 0.7220 0.7220
O 0.2233 0.5000 0.7767
O 0.5000 0.7767 0.2233
O 0.7767 0.2233 0.5000

# 2
Structure and simulated powder XRD pattern of La4B4Cl5 (a cell relaxed with PBE; Cu Kα, 1.54184 Å).
Peak positions follow from Bragg's law for the DFT cell and can differ from measured ones.

The 10 most intense peaks (15 to 90 degrees two-theta), sorted by position:
d = 4.189 Å, 21.21 deg, intensity 38; d = 4.034 Å, 22.03 deg, intensity 34; d = 3.465 Å, 25.71 deg, intensity 25; d = 3.064 Å, 29.14 deg, intensity 100; d = 2.808 Å, 31.87 deg, intensity 27; d = 2.682 Å, 33.41 deg, intensity 33; d = 2.144 Å, 42.16 deg, intensity 21; d = 2.115 Å, 42.76 deg, intensity 19; d = 2.048 Å, 44.23 deg, intensity 19; d = 2.027 Å, 44.71 deg, intensity 32

Structural model:
Unit cell a=8.6686 b=8.6686 c=9.3761 alpha=119.57 beta=119.57 gamma=28.63
Sites, in units of the cell vectors:
La 0.0604 0.0604 0.2976
La 0.3399 0.3399 0.2633
La 0.6601 0.6601 0.7367
La 0.9396 0.9396 0.7024
B 0.1854 0.8146 0.5000
B 0.4760 0.4760 0.5768
B 0.5240 0.5240 0.4232
B 0.8146 0.1854 0.5000
Cl 0.1488 0.1488 0.9433
Cl 0.2526 0.2526 0.6517
Cl 0.5000 0.5000 0.0000
Cl 0.7474 0.7474 0.3483
Cl 0.8512 0.8512 0.0567

# 3
Structure and simulated powder XRD pattern of LaB2ClO4 (a cell relaxed with PBE; Cu Kα, 1.54184 Å).
Peak positions follow from Bragg's law for the DFT cell and can differ from measured ones.

The 10 most intense peaks (15 to 90 degrees two-theta), sorted by position:
d = 4.090 Å, 21.73 deg, intensity 100; d = 3.690 Å, 24.12 deg, intensity 75; d = 3.677 Å, 24.20 deg, intensity 40; d = 3.590 Å, 24.80 deg, intensity 56; d = 3.526 Å, 25.26 deg, intensity 55; d = 2.727 Å, 32.85 deg, intensity 45; d = 2.693 Å, 33.27 deg, intensity 56; d = 2.684 Å, 33.38 deg, intensity 55; d = 2.150 Å, 42.03 deg, intensity 41; d = 2.132 Å, 42.40 deg, intensity 59

Structural model:
Unit cell a=4.2668 b=6.6696 c=8.2660 alpha=81.93 beta=89.29 gamma=72.16
Sites, in units of the cell vectors:
La 0.2113 0.0328 0.2221
La 0.7887 0.9672 0.7779
B 0.1648 0.3499 0.8526
B 0.4385 0.4373 0.1928
B 0.5615 0.5627 0.8072
B 0.8352 0.6501 0.1474
Cl 0.1477 0.2002 0.5433
Cl 0.8523 0.7998 0.4567
O 0.1008 0.4649 0.1770
O 0.1611 0.1544 0.9202
O 0.3653 0.7638 0.7918
O 0.4754 0.3756 0.8184
O 0.5246 0.6244 0.1816
O 0.6347 0.2362 0.2082
O 0.8389 0.8456 0.0798
O 0.8992 0.5351 0.8230

# 4
Structure and simulated powder XRD pattern of Li4B7ClO12 (a cell relaxed with PBE; Cu Kα, 1.54184 Å).
Peak positions follow from Bragg's law for the DFT cell and can differ from measured ones.

The 10 most intense peaks (15 to 90 degrees two-theta), sorted by position:
d = 3.566 Å, 24.97 deg, intensity 100; d = 3.523 Å, 25.28 deg, intensity 35; d = 3.079 Å, 29.00 deg, intensity 8; d = 2.764 Å, 32.39 deg, intensity 27; d = 2.744 Å, 32.64 deg, intensity 29; d = 2.518 Å, 35.66 deg, intensity 16; d = 2.090 Å, 43.29 deg, intensity 47; d = 2.078 Å, 43.56 deg, intensity 22; d = 2.069 Å, 43.75 deg, intensity 22; d = 1.497 Å, 62.01 deg, intensity 8

Structural model:
Unit cell a=8.6687 b=8.6687 c=8.6687 alpha=60.61 beta=60.61 gamma=60.61
Sites, in units of the cell vectors:
Li 0.0000 0.0000 0.0000
Li 0.3609 0.3608 0.8863
Li 0.3608 0.8863 0.3609
Li 0.3863 0.8608 0.8609
Li 0.5000 0.5000 0.5000
Li 0.8609 0.3863 0.8608
Li 0.8608 0.8609 0.3863
Li 0.8863 0.3609 0.3608
B 0.1158 0.6168 0.1204
B 0.1168 0.6158 0.6204
B 0.1204 0.1158 0.6168
B 0.1720 0.7680 0.7648
B 0.2648 0.2680 0.6720
B 0.2682 0.2682 0.2682
B 0.2680 0.6720 0.2648
B 0.6158 0.6204 0.1168
B 0.6168 0.1204 0.1158
B 0.6204 0.1168 0.6158
B 0.6720 0.2648 0.2680
B 0.7648 0.1720 0.7680
B 0.7680 0.7648 0.1720
B 0.7682 0.7682 0.7682
Cl 0.1113 0.1113 0.1113
Cl 0.6113 0.6113 0.6113
O 0.1105 0.6780 0.2558
O 0.1119 0.4288 0.6720
O 0.1160 0.2553 0.4309
O 0.1637 0.7640 0.9313
O 0.1720 0.9288 0.6119
O 0.1780 0.6105 0.7558
O 0.2553 0.4309 0.1160
O 0.2558 0.1105 0.6780
O 0.2640 0.6637 0.4313
O 0.4288 0.6720 0.1119
O 0.4309 0.1160 0.2553
O 0.4313 0.2640 0.6637
O 0.6105 0.7558 0.1780
O 0.6119 0.1720 0.9288
O 0.6160 0.9309 0.7553
O 0.6637 0.4313 0.2640
O 0.6720 0.1119 0.4288
O 0.6780 0.2558 0.1105
O 0.7553 0.6160 0.9309
O 0.7558 0.1780 0.6105
O 0.7640 0.9313 0.1637
O 0.9288 0.6119 0.1720
O 0.9313 0.1637 0.7640
O 0.9309 0.7553 0.6160

# 5
Structure and simulated powder XRD pattern of BN2Cl (a cell relaxed with PBE; Cu Kα, 1.54184 Å).
Peak positions follow from Bragg's law for the DFT cell and can differ from measured ones.

The 10 most intense peaks (15 to 90 degrees two-theta), sorted by position:
d = 4.249 Å, 20.91 deg, intensity 73; d = 4.201 Å, 21.15 deg, intensity 33; d = 3.430 Å, 25.98 deg, intensity 90; d = 2.987 Å, 29.91 deg, intensity 100; d = 2.971 Å, 30.08 deg, intensity 23; d = 2.897 Å, 30.87 deg, intensity 24; d = 2.462 Å, 36.49 deg, intensity 39; d = 2.124 Å, 42.56 deg, intensity 27; d = 2.106 Å, 42.94 deg, intensity 70; d = 1.980 Å, 45.82 deg, intensity 26

Structural model:
Unit cell a=7.2762 b=7.2762 c=5.4115 alpha=90.00 beta=90.00 gamma=70.52
Sites, in units of the cell vectors:
B 0.2073 0.7927 0.9262
B 0.2927 0.7073 0.4262
B 0.7073 0.2927 0.5738
B 0.7927 0.2073 0.0738
N 0.0715 0.9285 0.7620
N 0.2248 0.7752 0.6674
N 0.2752 0.7248 0.1674
N 0.4285 0.5715 0.2620
N 0.5715 0.4285 0.7380
N 0.7248 0.2752 0.8326
N 0.7752 0.2248 0.3326
N 0.9285 0.0715 0.2380
Cl 0.1817 0.1817 0.0000
Cl 0.3183 0.3183 0.5000
Cl 0.6817 0.6817 0.5000
Cl 0.8183 0.8183 0.0000